Starting from a PBE-relaxed structure, the powder X-ray diffraction pattern of PmHf4N6 was simulated for copper Kα.
Intensities are scaled so that the largest is 100.

Most intense lines, 15° ≤ 2θ ≤ 90°, low angle first:
two_theta  d/Å  I (rel.)  (hkl)
31.09  2.877  34  1 1 2
32.01  2.796  100  0 2 5
33.46  2.678  47  1 1 3
33.63  2.665  38  0 4 0
38.20  2.356  17  1 3 1
39.41  2.287  35  1 3 2
41.36  2.183  30  1 3 3
53.72  1.706  20  1 1 8
56.46  1.630  18  1 5 4
67.31  1.391  24  2 2 5

Cell and atoms:
```
data_PmHf4N6
_cell_length_a 3.207
_cell_length_b 10.659
_cell_length_c 16.418
_cell_angle_alpha 90.00
_cell_angle_beta 90.00
_cell_angle_gamma 90.00
_space_group_name_H-M_alt 'C m c m'
_space_group_IT_number 63
_space_group_name_Hall '-C 2c 2'
loop_
_atom_site_label
_atom_site_fract_x
_atom_site_fract_y
_atom_site_fract_z
Pm1 0.000 0.150 0.250
Hf1 0.000 0.105 0.636
Hf2 0.000 0.369 0.547
N1 0.000 0.000 0.000
N2 0.000 0.183 0.750
N3 0.000 0.270 0.082
N4 0.000 0.467 0.656
```



Starting from a PBE-relaxed structure, the powder X-ray diffraction pattern of PmHfThN3 was simulated for copper Kα.
Intensities are scaled so that the largest is 100.

Most intense lines, 15° ≤ 2θ ≤ 90°, low angle first:
two_theta  d/Å  I (rel.)  (hkl)
17.23  5.147  46  1 0 1
27.69  3.222  35  0 1 1
28.05  3.181  41  2 0 1
29.81  2.997  36  1 1 -1
30.82  2.902  66  2 0 -2
32.57  2.749  51  0 0 3
33.58  2.668  83  0 1 2
35.66  2.518  100  2 1 0
51.20  1.784  32  2 1 3
59.36  1.557  28  4 1 -2

Cell and atoms:
```
data_PmHfThN3
_cell_length_a 7.304
_cell_length_b 3.500
_cell_length_c 8.308
_cell_angle_alpha 90.00
_cell_angle_beta 96.92
_cell_angle_gamma 90.00
_space_group_name_H-M_alt 'P 1 21/m 1'
_space_group_IT_number 11
loop_
_space_group_symop_operation_xyz
'x,y,z'
'-x,-y,-z'
'-x,y+1/2,-z'
'x,-y+1/2,z'
loop_
_atom_site_label
_atom_site_fract_x
_atom_site_fract_y
_atom_site_fract_z
Pm1 0.113 0.250 0.357
Hf1 0.158 0.250 0.944
Th1 0.414 0.750 0.669
N1 0.131 0.750 0.080
N2 0.164 0.250 0.680
N3 0.367 0.750 0.395
```



Starting from a PBE-relaxed structure, the powder X-ray diffraction pattern of PrHf4N6 was simulated for copper Kα.
Intensities are scaled so that the largest is 100.

Most intense lines, 15° ≤ 2θ ≤ 90°, low angle first:
two_theta  d/Å  I (rel.)  (hkl)
30.95  2.889  34  1 1 2
31.88  2.807  100  0 2 5
33.30  2.690  48  1 1 3
33.56  2.671  38  0 4 0
38.06  2.364  17  1 3 1
39.26  2.295  35  1 3 2
41.20  2.191  31  1 3 3
53.45  1.714  21  1 1 8
56.28  1.635  20  1 5 4
66.98  1.397  24  2 2 5

Cell and atoms:
```
data_PrHf4N6
_cell_length_a 3.222
_cell_length_b 10.682
_cell_length_c 16.498
_cell_angle_alpha 90.00
_cell_angle_beta 90.00
_cell_angle_gamma 90.00
_space_group_name_H-M_alt 'C m c m'
_space_group_IT_number 63
_space_group_name_Hall '-C 2c 2'
loop_
_atom_site_label
_atom_site_fract_x
_atom_site_fract_y
_atom_site_fract_z
Pr1 0.000 0.150 0.250
Hf1 0.000 0.105 0.635
Hf2 0.000 0.369 0.547
N1 0.000 0.000 0.000
N2 0.000 0.178 0.750
N3 0.000 0.270 0.081
N4 0.000 0.468 0.654
```



Starting from a PBE-relaxed structure, the powder X-ray diffraction pattern of PrHf2N4 was simulated for copper Kα.
Intensities are scaled so that the largest is 100.

Most intense lines, 15° ≤ 2θ ≤ 90°, low angle first:
two_theta  d/Å  I (rel.)  (hkl)
16.27  5.448  16  1 1 1
26.72  3.336  22  2 2 0
31.44  2.845  100  3 1 1
32.88  2.724  36  2 2 2
38.15  2.359  13  4 0 0
50.22  1.817  29  1 5 1
55.05  1.668  39  4 4 0
64.78  1.439  13  3 5 3
65.60  1.423  12  2 6 2
77.70  1.229  12  5 3 5

Cell and atoms:
```
data_PrHf2N4
_cell_length_a 9.426
_cell_length_b 9.436
_cell_length_c 9.447
_cell_angle_alpha 90.00
_cell_angle_beta 90.00
_cell_angle_gamma 90.00
_space_group_name_H-M_alt 'F d d d'
_space_group_IT_number 70
loop_
_space_group_symop_operation_xyz
'x,y,z'
'-x,-y,-z'
'-x+1/4,-y+1/4,z'
'x+1/4,y+1/4,-z'
'x,-y+1/4,-z+1/4'
'-x,y+1/4,z+1/4'
'-x+1/4,y,-z+1/4'
'x+1/4,-y,z+1/4'
'x,y+1/2,z+1/2'
'-x,-y+1/2,-z+1/2'
'-x+1/4,-y+3/4,z+1/2'
'x+1/4,y+3/4,-z+1/2'
'x,-y+3/4,-z+3/4'
'-x,y+3/4,z+3/4'
'-x+1/4,y+1/2,-z+3/4'
'x+1/4,-y+1/2,z+3/4'
'x+1/2,y,z+1/2'
'-x+1/2,-y,-z+1/2'
'-x+3/4,-y+1/4,z+1/2'
'x+3/4,y+1/4,-z+1/2'
'x+1/2,-y+1/4,-z+3/4'
'-x+1/2,y+1/4,z+3/4'
'-x+3/4,y,-z+3/4'
'x+3/4,-y,z+3/4'
'x+1/2,y+1/2,z'
'-x+1/2,-y+1/2,-z'
'-x+3/4,-y+3/4,z'
'x+3/4,y+3/4,-z'
'x+1/2,-y+3/4,-z+1/4'
'-x+1/2,y+3/4,z+1/4'
'-x+3/4,y+1/2,-z+1/4'
'x+3/4,-y+1/2,z+1/4'
loop_
_atom_site_label
_atom_site_fract_x
_atom_site_fract_y
_atom_site_fract_z
Pr1 0.125 0.125 0.125
Hf1 0.000 0.000 0.500
N1 0.018 0.018 0.732
```



Starting from a PBE-relaxed structure, the powder X-ray diffraction pattern of Hf3Pt2N was simulated for copper Kα.
Intensities are scaled so that the largest is 100.

Most intense lines, 15° ≤ 2θ ≤ 90°, low angle first:
two_theta  d/Å  I (rel.)  (hkl)
35.02  2.562  78  1 1 1
38.72  2.326  100  1 5 0
39.85  2.262  72  2 0 0
49.40  1.845  12  0 6 1
56.76  1.622  23  2 4 1
57.75  1.596  13  0 0 2
69.20  1.358  12  3 1 1
71.54  1.319  11  3 5 0
71.70  1.316  22  1 5 2
72.44  1.305  21  2 0 2

Cell and atoms:
```
data_Hf3Pt2N
_cell_length_a 4.528
_cell_length_b 13.560
_cell_length_c 3.193
_cell_angle_alpha 90.00
_cell_angle_beta 90.00
_cell_angle_gamma 90.00
_space_group_name_H-M_alt 'C m m m'
_space_group_IT_number 65
_space_group_name_Hall '-C 2 2'
loop_
_atom_site_label
_atom_site_fract_x
_atom_site_fract_y
_atom_site_fract_z
Hf1 0.000 0.000 0.000
Hf2 0.000 0.379 0.500
Pt1 0.000 0.193 0.000
N1 0.000 0.500 0.000
```



Starting from a PBE-relaxed structure, the powder X-ray diffraction pattern of Hf3TiPt2N was simulated for copper Kα.
Intensities are scaled so that the largest is 100.

Most intense lines, 15° ≤ 2θ ≤ 90°, low angle first:
two_theta  d/Å  I (rel.)  (hkl)
21.59  4.116  22  0 1 1
30.06  2.973  65  1 1 0
32.85  2.726  83  1 1 2
39.55  2.279  65  0 0 6
40.19  2.244  100  1 1 4
41.87  2.158  46  0 2 0
44.17  2.050  39  2 0 0
58.95  1.567  41  0 2 6
62.49  1.486  28  2 2 0
76.50  1.245  17  2 2 6

Cell and atoms:
```
data_Hf3TiPt2N
_cell_length_a 4.101
_cell_length_b 4.315
_cell_length_c 13.686
_cell_angle_alpha 90.00
_cell_angle_beta 90.00
_cell_angle_gamma 90.00
_space_group_name_H-M_alt 'I m m m'
_space_group_IT_number 71
_space_group_name_Hall '-I 2 2'
loop_
_atom_site_label
_atom_site_fract_x
_atom_site_fract_y
_atom_site_fract_z
Hf1 0.000 0.000 0.000
Hf2 0.000 0.500 0.176
Ti1 0.000 0.000 0.500
Pt1 0.000 0.500 0.364
N1 0.000 0.500 0.000
```